This entry pairs a crystal structure of Li2ScP2HO8 with its theoretical X-ray powder pattern. Radiation: Cu Kα, 1.54184 Å. Structure: a DFT-relaxed cell (GGA-PBE, Alexandria).
Peak positions follow from Bragg's law for the DFT cell and can differ from measured ones.

Crystal structure
abc: 4.903 8.298 7.756
angles: 90.00 104.15 90.00
Space group P2_1 (No. 4)
One atom of each set of equivalent atoms:
Li: 0.129 0.000 0.091 [2 per cell]
Li: 0.355 0.729 0.411 [2 per cell]
Sc: 0.247 0.364 0.254 [2 per cell]
P: 0.115 0.014 0.475 [2 per cell]
P: 0.388 0.710 0.020 [2 per cell]
H: 0.276 0.349 0.760 [2 per cell]
O: 0.005 0.422 0.701 [2 per cell]
O: 0.107 0.539 0.415 [2 per cell]
O: 0.149 0.821 0.920 [2 per cell]
O: 0.235 0.178 0.432 [2 per cell]
O: 0.266 0.550 0.067 [2 per cell]
O: 0.358 0.910 0.586 [2 per cell]
O: 0.388 0.187 0.087 [2 per cell]
O: 0.482 0.297 0.796 [2 per cell]

Most intense lines, 15° ≤ 2θ ≤ 90°, by intensity:
- 2θ 24.49, I = 100.0, (1 0 1)
- 2θ 28.54, I = 86.7, (1 1 -2)
- 2θ 22.27, I = 35.2, (1 1 -1)
- 2θ 32.12, I = 34.5, (0 2 2)
- 2θ 50.19, I = 26.8, (1 2 3)
- 2θ 15.90, I = 25.1, (0 1 1)
- 2θ 29.12, I = 12.1, (1 2 -1)
- 2θ 44.04, I = 11.8, (2 1 1)

=====

This entry pairs a crystal structure of LiSn2P4H3O16 with its theoretical X-ray powder pattern. Radiation: Cu Kα, 1.54184 Å. Structure: a DFT-relaxed cell (GGA-PBE, Alexandria).
Peak positions follow from Bragg's law for the DFT cell and can differ from measured ones.

Crystal structure
abc: 4.973 7.623 8.134
angles: 89.53 88.92 76.46
Space group P1 (No. 1)
One atom of each set of equivalent atoms:
Li: 0.000 0.000 0.000 [1 per cell]
Sn: 0.060 0.865 0.607 [1 per cell]
Sn: 0.548 0.376 0.117 [1 per cell]
P: 0.184 0.104 0.265 [1 per cell]
P: 0.438 0.130 0.767 [1 per cell]
P: 0.682 0.609 0.458 [1 per cell]
P: 0.928 0.633 0.961 [1 per cell]
H: 0.142 0.342 0.622 [1 per cell]
H: 0.589 0.857 0.103 [1 per cell]
H: 0.654 0.372 0.596 [1 per cell]
O: 0.032 0.683 0.792 [1 per cell]
O: 0.094 0.060 0.441 [1 per cell]
O: 0.167 0.534 0.067 [1 per cell]
O: 0.204 0.026 0.787 [1 per cell]
O: 0.318 0.937 0.165 [1 per cell]
O: 0.328 0.315 0.673 [1 per cell]
O: 0.372 0.239 0.288 [1 per cell]
O: 0.446 0.714 0.566 [1 per cell]
O: 0.541 0.178 0.934 [1 per cell]
O: 0.593 0.564 0.288 [1 per cell]
O: 0.675 0.021 0.663 [1 per cell]
O: 0.717 0.515 0.940 [1 per cell]
O: 0.789 0.817 0.046 [1 per cell]
O: 0.807 0.425 0.555 [1 per cell]
O: 0.916 0.709 0.441 [1 per cell]
O: 0.925 0.198 0.162 [1 per cell]

Most intense lines, 15° ≤ 2θ ≤ 90°, by intensity:
- 2θ 16.18, I = 100.0, (0 1 -1)
- 2θ 24.22, I = 59.8, (1 -1 0)
- 2θ 29.02, I = 32.7, (1 2 -1)
- 2θ 28.71, I = 29.2, (1 2 1)
- 2θ 21.86, I = 24.7, (0 0 2)
- 2θ 32.63, I = 22.6, (0 2 2)
- 2θ 32.76, I = 19.7, (0 2 -2)
- 2θ 21.22, I = 18.4, (1 0 1)

=====

This entry pairs a crystal structure of Li4Sn2P4H3O16 with its theoretical X-ray powder pattern. Radiation: Cu Kα, 1.54184 Å. Structure: a DFT-relaxed cell (GGA-PBE, Alexandria).
Peak positions follow from Bragg's law for the DFT cell and can differ from measured ones.

Crystal structure
abc: 4.892 8.154 8.974
angles: 90.11 91.09 101.65
Space group P1 (No. 1)
One atom of each set of equivalent atoms:
Li: 0.000 0.000 0.000 [1 per cell]
Li: 0.207 0.360 0.306 [1 per cell]
Li: 0.493 0.517 0.798 [1 per cell]
Li: 0.753 0.835 0.518 [1 per cell]
Sn: 0.099 0.185 0.653 [1 per cell]
Sn: 0.601 0.678 0.161 [1 per cell]
P: 0.277 0.969 0.328 [1 per cell]
P: 0.480 0.910 0.794 [1 per cell]
P: 0.722 0.461 0.509 [1 per cell]
P: 0.972 0.400 0.995 [1 per cell]
H: 0.165 0.698 0.668 [1 per cell]
H: 0.620 0.196 0.355 [1 per cell]
H: 0.687 0.195 0.117 [1 per cell]
O: 0.092 0.917 0.191 [1 per cell]
O: 0.108 0.000 0.467 [1 per cell]
O: 0.134 0.371 0.855 [1 per cell]
O: 0.166 0.486 0.123 [1 per cell]
O: 0.244 0.010 0.819 [1 per cell]
O: 0.345 0.726 0.732 [1 per cell]
O: 0.461 0.155 0.284 [1 per cell]
O: 0.478 0.853 0.363 [1 per cell]
O: 0.513 0.370 0.626 [1 per cell]
O: 0.562 0.494 0.365 [1 per cell]
O: 0.629 0.880 0.938 [1 per cell]
O: 0.680 0.997 0.672 [1 per cell]
O: 0.731 0.489 0.965 [1 per cell]
O: 0.853 0.211 0.053 [1 per cell]
O: 0.886 0.626 0.575 [1 per cell]
O: 0.913 0.333 0.464 [1 per cell]

Most intense lines, 15° ≤ 2θ ≤ 90°, by intensity:
- 2θ 23.51, I = 100.0, (1 1 0)
- 2θ 27.78, I = 88.9, (-1 2 1)
- 2θ 27.96, I = 58.4, (1 -2 1)
- 2θ 30.05, I = 39.0, (0 2 2)
- 2θ 29.87, I = 38.1, (0 2 -2)
- 2θ 45.42, I = 33.3, (0 4 0)
- 2θ 21.20, I = 30.2, (1 0 1)
- 2θ 19.79, I = 29.0, (0 0 2)

=====

This entry pairs a crystal structure of LiSn2P4H3O16 with its theoretical X-ray powder pattern. Radiation: Cu Kα, 1.54184 Å. Structure: a DFT-relaxed cell (GGA-PBE, Alexandria).
Peak positions follow from Bragg's law for the DFT cell and can differ from measured ones.

Crystal structure
abc: 4.968 7.507 8.210
angles: 90.15 91.65 104.40
Space group P1 (No. 1)
One atom of each set of equivalent atoms:
Li: 0.000 0.000 0.000 [1 per cell]
Sn: 0.118 0.182 0.653 [1 per cell]
Sn: 0.601 0.662 0.159 [1 per cell]
P: 0.245 0.939 0.311 [1 per cell]
P: 0.485 0.901 0.802 [1 per cell]
P: 0.740 0.442 0.505 [1 per cell]
P: 0.976 0.408 0.996 [1 per cell]
H: 0.128 0.683 0.645 [1 per cell]
H: 0.417 0.246 0.270 [1 per cell]
H: 0.678 0.176 0.124 [1 per cell]
O: 0.076 0.370 0.829 [1 per cell]
O: 0.170 0.995 0.477 [1 per cell]
O: 0.207 0.514 0.111 [1 per cell]
O: 0.284 0.032 0.830 [1 per cell]
O: 0.335 0.724 0.715 [1 per cell]
O: 0.380 0.123 0.211 [1 per cell]
O: 0.458 0.823 0.323 [1 per cell]
O: 0.500 0.351 0.616 [1 per cell]
O: 0.591 0.857 0.976 [1 per cell]
O: 0.607 0.457 0.328 [1 per cell]
O: 0.741 0.508 0.986 [1 per cell]
O: 0.742 0.008 0.713 [1 per cell]
O: 0.866 0.210 0.074 [1 per cell]
O: 0.899 0.630 0.563 [1 per cell]
O: 0.927 0.305 0.479 [1 per cell]
O: 0.995 0.845 0.197 [1 per cell]

Most intense lines, 15° ≤ 2θ ≤ 90°, by intensity:
- 2θ 24.61, I = 100.0, (1 1 0)
- 2θ 16.37, I = 92.3, (0 1 1)
- 2θ 16.21, I = 88.7, (0 1 -1)
- 2θ 28.87, I = 87.2, (-1 2 1)
- 2θ 21.68, I = 81.9, (0 0 2)
- 2θ 29.08, I = 59.5, (1 -2 1)
- 2θ 32.75, I = 37.6, (0 2 -2)
- 2θ 21.13, I = 32.7, (1 0 -1)

=====

This entry pairs a crystal structure of LiTi2P4H3O16 with its theoretical X-ray powder pattern. Radiation: Cu Kα, 1.54184 Å. Structure: a DFT-relaxed cell (GGA-PBE, Alexandria).
Peak positions follow from Bragg's law for the DFT cell and can differ from measured ones.

Crystal structure
abc: 5.002 7.560 7.854
angles: 89.69 88.75 76.79
Space group P1 (No. 1)
One atom of each set of equivalent atoms:
Li: 0.000 0.000 0.000 [1 per cell]
Ti: 0.099 0.853 0.624 [1 per cell]
Ti: 0.591 0.371 0.130 [1 per cell]
P: 0.211 0.102 0.283 [1 per cell]
P: 0.486 0.113 0.784 [1 per cell]
P: 0.719 0.601 0.481 [1 per cell]
P: 0.988 0.627 0.983 [1 per cell]
H: 0.382 0.268 0.548 [1 per cell]
H: 0.551 0.882 0.146 [1 per cell]
H: 0.823 0.451 0.719 [1 per cell]
O: 0.080 0.678 0.803 [1 per cell]
O: 0.133 0.041 0.461 [1 per cell]
O: 0.255 0.523 0.074 [1 per cell]
O: 0.264 0.003 0.805 [1 per cell]
O: 0.346 0.930 0.174 [1 per cell]
O: 0.382 0.287 0.673 [1 per cell]
O: 0.404 0.234 0.304 [1 per cell]
O: 0.454 0.715 0.560 [1 per cell]
O: 0.559 0.186 0.956 [1 per cell]
O: 0.669 0.523 0.308 [1 per cell]
O: 0.748 0.995 0.703 [1 per cell]
O: 0.802 0.488 0.961 [1 per cell]
O: 0.832 0.431 0.594 [1 per cell]
O: 0.845 0.798 0.077 [1 per cell]
O: 0.931 0.720 0.463 [1 per cell]
O: 0.952 0.188 0.182 [1 per cell]

Most intense lines, 15° ≤ 2θ ≤ 90°, by intensity:
- 2θ 24.11, I = 100.0, (1 -1 0)
- 2θ 16.51, I = 66.3, (0 1 -1)
- 2θ 25.72, I = 62.0, (0 1 -2)
- 2θ 22.69, I = 41.2, (1 1 -1)
- 2θ 29.02, I = 40.1, (1 2 1)
- 2θ 33.37, I = 38.3, (0 2 -2)
- 2θ 29.34, I = 33.2, (1 2 -1)
- 2θ 22.31, I = 25.6, (1 1 1)

=====

This entry pairs a crystal structure of LiTlPHO3 with its theoretical X-ray powder pattern. Radiation: Cu Kα, 1.54184 Å. Structure: a DFT-relaxed cell (GGA-PBE, Alexandria).
Peak positions follow from Bragg's law for the DFT cell and can differ from measured ones.

Crystal structure
abc: 15.083 5.160 5.451
angles: 90.00 91.47 90.00
Space group C2 (No. 5)
One atom of each set of equivalent atoms:
Li: 0.248 0.000 0.316 [4 per cell]
Tl: 0.098 0.968 0.751 [4 per cell]
P: 0.148 0.507 0.182 [4 per cell]
H: 0.067 0.396 0.260 [4 per cell]
O: 0.140 0.802 0.225 [4 per cell]
O: 0.155 0.441 0.907 [4 per cell]
O: 0.222 0.380 0.344 [4 per cell]

Most intense lines, 15° ≤ 2θ ≤ 90°, by intensity:
- 2θ 18.17, I = 100.0, (1 1 0)
- 2θ 30.00, I = 74.5, (3 1 1)
- 2θ 24.38, I = 57.8, (1 1 -1)
- 2θ 23.60, I = 55.6, (4 0 0)
- 2θ 34.45, I = 51.8, (5 1 0)
- 2θ 29.48, I = 50.4, (3 1 -1)
- 2θ 20.35, I = 44.5, (2 0 1)
- 2θ 19.86, I = 44.2, (2 0 -1)

=====

This entry pairs a crystal structure of LiUPH8O10 with its theoretical X-ray powder pattern. Radiation: Cu Kα, 1.54184 Å. Structure: a DFT-relaxed cell (GGA-PBE, Alexandria).
Peak positions follow from Bragg's law for the DFT cell and can differ from measured ones.

Crystal structure
abc: 6.963 6.963 9.277
angles: 90.00 90.00 90.00
Space group P4/n (No. 85, origin choice 2)
One atom of each set of equivalent atoms:
Li: 0.250 0.750 0.000 [2 per cell]
U: 0.250 0.250 0.400 [2 per cell]
P: 0.250 0.750 0.500 [2 per cell]
H: 0.079 0.669 0.231 [8 per cell]
H: 0.081 0.393 0.877 [8 per cell]
O: 0.030 0.697 0.133 [8 per cell]
O: 0.079 0.800 0.601 [8 per cell]
O: 0.250 0.250 0.204 [2 per cell]
O: 0.250 0.250 0.595 [2 per cell]

Most intense lines, 15° ≤ 2θ ≤ 90°, by intensity:
- 2θ 23.04, I = 100.0, (1 0 2)
- 2θ 15.92, I = 64.6, (1 0 1)
- 2θ 27.36, I = 63.3, (2 0 1)
- 2θ 25.59, I = 62.9, (2 0 0)
- 2θ 20.42, I = 49.6, (1 1 1)
- 2θ 18.02, I = 48.1, (1 1 0)
- 2θ 30.28, I = 44.4, (2 1 1)
- 2θ 41.00, I = 35.0, (1 3 0)